[1]
The following is a computed XRD peak list of K2Te5Au. It was derived from DFT lattice parameters and positions (GGA-PBE), using λ = 1.5418 Å (Cu Kα).
Peak positions follow from Bragg's law for the DFT cell and can differ from measured ones.

Top 10 peaks for 5° ≤ 2θ ≤ 70°, sorted by position:
| hkl | Position (°2θ) | I_rel |
| --- | --- | --- |
| 1 1 0 | 16.6 | 27 |
| 0 0 2 | 17.3 | 100 |
| 1 1 2 | 24.0 | 58 |
| 0 2 2 | 26.2 | 27 |
| 2 2 0 | 33.5 | 71 |
| 1 3 2 | 37.0 | 19 |
| 2 2 2 | 37.9 | 56 |
| 0 4 0 | 39.6 | 22 |
| 0 4 2 | 43.5 | 19 |
| 2 2 4 | 49.2 | 26 |

Cell and atoms:
Cell: 6.6118 9.1029 10.2566 Å, 90.00 90.00 90.00°
Space group Imm2 (No. 44)
One atom of each set of equivalent atoms:
K: 0.0000 0.0000 0.0000 x2
K: 0.0000 0.0000 0.4964 x2
Te: 0.0000 0.5000 0.3322 x2
Te: 0.2449 0.2575 0.7426 x8
Au: 0.0000 0.5000 0.7809 x2

---

[2]
The following is a computed XRD peak list of K6LiFe24S26Cl. It was derived from DFT lattice parameters and positions (GGA-PBE), using λ = 1.5418 Å (Cu Kα).
Peak positions follow from Bragg's law for the DFT cell and can differ from measured ones.

Top 10 peaks for 5° ≤ 2θ ≤ 70°, sorted by position:
| hkl | Position (°2θ) | I_rel |
| --- | --- | --- |
| 1 0 0 | 9.0 | 51 |
| 1 1 0 | 12.7 | 34 |
| 1 1 1 | 15.6 | 50 |
| 3 1 0 | 28.7 | 28 |
| 3 1 1 | 30.1 | 47 |
| 2 2 2 | 31.5 | 61 |
| 3 3 1 | 39.9 | 57 |
| 3 3 3 | 48.0 | 14 |
| 4 4 0 | 52.6 | 100 |
| 6 2 2 | 62.6 | 13 |

Cell and atoms:
Cell: 9.8396 9.8396 9.8396 Å, 90.00 90.00 90.00°
Space group Pm-3m (No. 221)
One atom of each set of equivalent atoms:
K: 0.0000 0.0000 0.3006 x6
Li: 0.5000 0.5000 0.5000 x1
Fe: 0.1349 0.3654 0.3654 x24
S: 0.0000 0.2505 0.5000 x12
S: 0.2246 0.2246 0.2246 x8
S: 0.2473 0.5000 0.5000 x6
Cl: 0.0000 0.0000 0.0000 x1

---

[3]
The following is a computed XRD peak list of Zr3AlTl. It was derived from DFT lattice parameters and positions (GGA-PBE), using λ = 1.5418 Å (Cu Kα).
Peak positions follow from Bragg's law for the DFT cell and can differ from measured ones.

Top 10 peaks for 5° ≤ 2θ ≤ 70°, sorted by position:
| hkl | Position (°2θ) | I_rel |
| --- | --- | --- |
| 1 1 0 | 16.9 | 71 |
| 1 1 1 | 23.4 | 98 |
| 0 0 2 | 32.4 | 30 |
| 0 6 0 | 34.3 | 57 |
| 0 2 2 | 34.4 | 30 |
| 1 5 1 | 36.7 | 25 |
| 2 2 1 | 38.0 | 100 |
| 0 4 2 | 39.9 | 26 |
| 1 3 2 | 40.3 | 63 |
| 2 4 1 | 43.1 | 45 |

Cell and atoms:
Cell: 5.5632 15.6915 5.5314 Å, 90.00 90.00 90.00°
Space group Cmcm (No. 63)
One atom of each set of equivalent atoms:
Zr: 0.0000 0.0000 0.0000 x4
Zr: 0.2504 0.1536 0.2500 x8
Al: 0.0000 0.4737 0.2500 x4
Tl: 0.0000 0.1730 0.7500 x4

---

[4]
The following is a computed XRD peak list of Li2Dy2ThIn2. It was derived from DFT lattice parameters and positions (GGA-PBE), using λ = 1.5418 Å (Cu Kα).
Peak positions follow from Bragg's law for the DFT cell and can differ from measured ones.

Top 10 peaks for 5° ≤ 2θ ≤ 70°, sorted by position:
| hkl | Position (°2θ) | I_rel |
| --- | --- | --- |
| 1 0 1 | 21.3 | 100 |
| 1 0 7 | 31.7 | 78 |
| 0 1 8 | 34.4 | 93 |
| 1 1 0 | 36.8 | 89 |
| 0 2 7 | 49.4 | 23 |
| 2 0 8 | 51.3 | 30 |
| 2 1 7 | 63.1 | 22 |
| 1 2 8 | 64.8 | 30 |
| 1 1 15 | 65.3 | 29 |
| 3 0 0 | 66.3 | 17 |

Cell and atoms:
Cell: 4.8849 4.8849 26.4556 Å, 90.00 90.00 120.00°
Space group R-3m (No. 166, hexagonal axes)
One atom of each set of equivalent atoms:
Li: 0.0000 0.0000 0.0949 x6
Dy: 0.0000 0.0000 0.3711 x6
Th: 0.0000 0.0000 0.5000 x3
In: 0.0000 0.0000 0.2383 x6

---

[5]
The following is a computed XRD peak list of BaAu2S4O16. It was derived from DFT lattice parameters and positions (GGA-PBE), using λ = 1.5418 Å (Cu Kα).
Peak positions follow from Bragg's law for the DFT cell and can differ from measured ones.

Top 10 peaks for 5° ≤ 2θ ≤ 70°, sorted by position:
| hkl | Position (°2θ) | I_rel |
| --- | --- | --- |
| 0 0 1 | 10.1 | 96 |
| 2 0 -1 | 17.5 | 79 |
| 2 0 0 | 19.2 | 81 |
| 2 0 -2 | 21.1 | 77 |
| 2 2 0 | 27.3 | 68 |
| 0 2 2 | 28.0 | 100 |
| 2 2 -2 | 28.7 | 36 |
| 2 2 2 | 39.0 | 29 |
| 4 2 -2 | 40.5 | 24 |
| 2 2 -4 | 42.0 | 25 |

Cell and atoms:
Cell: 10.2066 9.2677 9.7335 Å, 90.00 115.28 90.00°
Space group C2/m (No. 12)
One atom of each set of equivalent atoms:
Ba: 0.0000 0.0000 0.0000 x2
Au: 0.0000 0.0000 0.5000 x2
Au: 0.0000 0.5000 0.5000 x2
S: 0.1450 0.2495 0.7323 x8
O: 0.0109 0.3483 0.6562 x8
O: 0.1147 0.1658 0.8411 x8
O: 0.1549 0.1517 0.6081 x8
O: 0.2217 0.1682 0.2102 x8

---

[6]
The following is a computed XRD peak list of Pr7HoIn4. It was derived from DFT lattice parameters and positions (GGA-PBE), using λ = 1.5418 Å (Cu Kα).
Peak positions follow from Bragg's law for the DFT cell and can differ from measured ones.

Top 10 peaks for 5° ≤ 2θ ≤ 70°, sorted by position:
| hkl | Position (°2θ) | I_rel |
| --- | --- | --- |
| 4 0 -3 | 27.7 | 49 |
| 1 1 2 | 28.9 | 61 |
| 3 1 -3 | 29.5 | 35 |
| 0 0 3 | 29.7 | 20 |
| 0 2 0 | 30.4 | 100 |
| 3 1 1 | 32.2 | 30 |
| 5 1 -1 | 35.4 | 72 |
| 1 1 -4 | 39.6 | 16 |
| 4 2 -3 | 41.6 | 33 |
| 5 3 -1 | 57.2 | 19 |

Cell and atoms:
Cell: 14.8125 5.8871 10.8121 Å, 90.00 123.47 90.00°
Space group C2/m (No. 12)
One atom of each set of equivalent atoms:
Pr: 0.0000 0.0000 0.0000 x2
Pr: 0.0629 0.5000 0.3912 x4
Pr: 0.2042 0.5000 0.8819 x4
Pr: 0.2216 0.0000 0.6612 x4
Ho: 0.0000 0.5000 0.0000 x2
In: 0.0563 0.0000 0.7517 x4
In: 0.1810 0.0000 0.3333 x4